1.
For Ba2YTi3O7, a DFT-relaxed cell (PBE, the Materials Project) gives the calculated X-ray powder pattern in this record (Cu Kα, 1.54184 Å).

Atomic structure:
Lattice parameters (Å, degrees): 3.9730 4.0152 11.4912 90.00 90.00 90.00
Space group Pmmm (No. 47)
Symmetry-distinct sites (fractional):
Ba: 0.0000 0.0000 0.1751
Y: 0.0000 0.0000 0.5000
Ti: 0.5000 0.5000 0.0000
Ti: 0.5000 0.5000 0.3636
O: 0.0000 0.5000 0.3698
O: 0.5000 0.0000 0.0000
O: 0.5000 0.0000 0.3698
O: 0.5000 0.5000 0.1717

Main lines, most intense first (2θ = 10–90°):
| (hkl) | 2θ/deg | I_rel |
| --- | --- | --- |
| 1 0 3 | 32.5 | 100 |
| 1 1 0 | 31.7 | 100 |
| 0 1 3 | 32.3 | 87 |
| 1 1 3 | 39.7 | 56 |
| 1 2 3 | 56.7 | 39 |
| 2 1 3 | 57.0 | 34 |
| 0 2 0 | 45.2 | 33 |
| 2 0 0 | 45.7 | 32 |
| 1 1 6 | 58.2 | 31 |
| 0 1 0 | 22.1 | 22 |

---

2.
For BaYTi4O7, a DFT-relaxed cell (PBE, the Materials Project) gives the calculated X-ray powder pattern in this record (Cu Kα, 1.54184 Å).

Atomic structure:
Lattice parameters (Å, degrees): 6.3830 6.3830 10.6968 90.00 90.00 120.00
Space group P6_3mc (No. 186)
Symmetry-distinct sites (fractional):
Ba: 0.3333 0.6667 0.0000
Y: 0.3333 0.6667 0.3599
Ti: 0.0000 0.0000 0.4844
Ti: 0.1513 0.3025 0.6801
O: 0.0000 0.0000 0.2881
O: 0.0123 0.5061 0.7394
O: 0.1764 0.3528 0.4973

Main lines, most intense first (2θ = 10–90°):
| (hkl) | 2θ/deg | I_rel |
| --- | --- | --- |
| 2 0 1 | 33.5 | 100 |
| 1 0 3 | 29.8 | 93 |
| 1 1 2 | 32.7 | 88 |
| 1 1 0 | 28.0 | 58 |
| 2 1 3 | 50.6 | 53 |
| 2 2 0 | 57.8 | 38 |
| 2 0 5 | 54.2 | 37 |
| 3 0 2 | 52.5 | 23 |
| 3 1 3 | 66.4 | 17 |
| 1 0 2 | 23.1 | 17 |

---

3.
For Ba2ZrTiO6, a DFT-relaxed cell (PBE, the Materials Project) gives the calculated X-ray powder pattern in this record (Cu Kα, 1.54184 Å).

Atomic structure:
Lattice parameters (Å, degrees): 8.2934 8.2934 8.2934 90.00 90.00 90.00
Space group Fm-3m (No. 225)
Symmetry-distinct sites (fractional):
Ba: 0.2500 0.2500 0.2500
Zr: 0.0000 0.0000 0.0000
Ti: 0.0000 0.0000 0.5000
O: 0.0000 0.0000 0.2575

Main lines, most intense first (2θ = 10–90°):
| (hkl) | 2θ/deg | I_rel |
| --- | --- | --- |
| 2 2 0 | 30.5 | 100 |
| 4 2 2 | 54.2 | 39 |
| 4 0 0 | 43.7 | 33 |
| 6 4 2 | 88.2 | 21 |
| 4 4 0 | 63.4 | 20 |
| 6 2 0 | 72.0 | 17 |
| 2 2 2 | 37.6 | 13 |
| 4 4 4 | 80.2 | 7 |
| 2 0 0 | 21.4 | 6 |
| 6 2 2 | 76.1 | 4 |

---

4.
For Ba4Zr3TiO12, a DFT-relaxed cell (PBE, the Materials Project) gives the calculated X-ray powder pattern in this record (Cu Kα, 1.54184 Å).

Atomic structure:
Lattice parameters (Å, degrees): 4.2157 4.2157 16.7809 90.00 90.00 90.00
Space group P4/mmm (No. 123)
Symmetry-distinct sites (fractional):
Ba: 0.0000 0.0000 0.1162
Ba: 0.0000 0.0000 0.3729
Zr: 0.5000 0.5000 0.2464
Zr: 0.5000 0.5000 0.5000
Ti: 0.5000 0.5000 0.0000
O: 0.0000 0.5000 0.0000
O: 0.0000 0.5000 0.2470
O: 0.0000 0.5000 0.5000
O: 0.5000 0.5000 0.1163
O: 0.5000 0.5000 0.3729

Main lines, most intense first (2θ = 10–90°):
| (hkl) | 2θ/deg | I_rel |
| --- | --- | --- |
| 1 1 0 | 30.0 | 100 |
| 2 1 4 | 53.3 | 26 |
| 2 0 0 | 42.9 | 22 |
| 2 0 8 | 62.5 | 12 |
| 1 1 8 | 53.4 | 12 |
| 3 1 0 | 70.7 | 12 |
| 0 0 8 | 43.1 | 10 |
| 1 1 4 | 37.0 | 9 |
| 3 2 4 | 86.4 | 7 |
| 2 2 0 | 62.3 | 7 |

---

5.
For Ba2Tl2O5, a DFT-relaxed cell (PBE, the Materials Project) gives the calculated X-ray powder pattern in this record (Cu Kα, 1.54184 Å).

Atomic structure:
Lattice parameters (Å, degrees): 6.1804 17.3687 6.4478 90.00 90.00 90.00
Space group Pnma (No. 62)
Symmetry-distinct sites (fractional):
Ba: 0.0090 0.1112 0.0189
Tl: 0.0000 0.0000 0.5000
Tl: 0.0253 0.2500 0.5557
O: 0.0467 0.6393 0.5735
O: 0.1139 0.7500 0.1206
O: 0.2460 0.0148 0.7228

Main lines, most intense first (2θ = 10–90°):
| (hkl) | 2θ/deg | I_rel |
| --- | --- | --- |
| 1 4 1 | 28.7 | 100 |
| 2 0 0 | 28.9 | 29 |
| 0 0 2 | 27.7 | 28 |
| 2 0 2 | 40.4 | 24 |
| 3 4 1 | 51.1 | 21 |
| 1 4 3 | 49.6 | 18 |
| 0 8 0 | 41.6 | 12 |
| 2 8 2 | 59.4 | 12 |
| 2 8 0 | 51.4 | 10 |
| 0 8 2 | 50.7 | 9 |

---

6.
For BaTm2O4, a DFT-relaxed cell (PBE, the Materials Project) gives the calculated X-ray powder pattern in this record (Cu Kα, 1.54184 Å).

Atomic structure:
Lattice parameters (Å, degrees): 10.3498 6.1141 21.7990 90.00 90.41 90.00
Space group C2/c (No. 15)
Symmetry-distinct sites (fractional):
Ba: 0.0000 0.1109 0.2500
Ba: 0.1640 0.3891 0.6439
Tm: 0.0042 0.1183 0.4294
Tm: 0.1645 0.3802 0.9477
Tm: 0.1690 0.3878 0.8057
O: 0.0000 0.4542 0.7500
O: 0.0000 0.5000 0.0000
O: 0.0593 0.1697 0.8765
O: 0.1201 0.3521 0.3805
O: 0.1496 0.0571 0.9971
O: 0.1698 0.1738 0.1244
O: 0.2209 0.1162 0.7481

Main lines, most intense first (2θ = 10–90°):
| (hkl) | 2θ/deg | I_rel |
| --- | --- | --- |
| 2 0 -6 | 30.0 | 100 |
| 3 1 0 | 29.7 | 54 |
| 0 2 1 | 29.5 | 41 |
| 2 2 -7 | 45.0 | 22 |
| 3 3 -1 | 52.3 | 18 |
| 4 0 6 | 43.1 | 17 |
| 3 1 1 | 30.0 | 16 |
| 4 2 7 | 55.2 | 16 |
| 1 1 7 | 33.5 | 16 |
| 2 2 -5 | 39.9 | 15 |

---

7.
For BaTm2O4, a DFT-relaxed cell (PBE, the Materials Project) gives the calculated X-ray powder pattern in this record (Cu Kα, 1.54184 Å).

Atomic structure:
Lattice parameters (Å, degrees): 10.4045 3.4267 12.0440 90.00 90.00 90.00
Space group Pnma (No. 62)
Symmetry-distinct sites (fractional):
Ba: 0.2478 0.2500 0.1486
Tm: 0.0741 0.2500 0.3896
Tm: 0.0761 0.2500 0.8912
O: 0.0163 0.7500 0.7825
O: 0.0676 0.2500 0.5742
O: 0.1132 0.7500 0.0163
O: 0.2111 0.7500 0.3453

Main lines, most intense first (2θ = 10–90°):
| (hkl) | 2θ/deg | I_rel |
| --- | --- | --- |
| 3 0 2 | 29.7 | 100 |
| 1 1 2 | 31.2 | 71 |
| 4 1 0 | 43.7 | 34 |
| 4 1 4 | 53.7 | 33 |
| 3 2 2 | 62.4 | 27 |
| 6 2 0 | 78.4 | 13 |
| 0 2 0 | 53.5 | 12 |
| 1 1 3 | 35.5 | 11 |
| 3 0 6 | 52.7 | 10 |
| 6 0 4 | 61.7 | 8 |

---

8.
For Ba3Tm4O9, a DFT-relaxed cell (PBE, the Materials Project) gives the calculated X-ray powder pattern in this record (Cu Kα, 1.54184 Å).

Atomic structure:
Lattice parameters (Å, degrees): 6.0746 6.0746 25.2347 90.00 90.00 120.00
Space group R3 (No. 146, hexagonal axes)
Symmetry-distinct sites (fractional):
Ba: 0.0000 0.0000 0.0000
Ba: 0.0000 0.0000 0.1643
Ba: 0.0000 0.0000 0.5852
Tm: 0.0000 0.0000 0.3001
Tm: 0.0000 0.0000 0.4253
Tm: 0.0000 0.0000 0.7389
Tm: 0.0000 0.0000 0.8637
O: 0.0009 0.4485 0.5820
O: 0.0123 0.5499 0.0253
O: 0.1217 0.7741 0.4709

Main lines, most intense first (2θ = 10–90°):
| (hkl) | 2θ/deg | I_rel |
| --- | --- | --- |
| 1 1 0 | 29.4 | 100 |
| 1 0 7 | 30.1 | 80 |
| 0 2 7 | 42.5 | 42 |
| 2 1 7 | 52.6 | 35 |
| 3 0 0 | 52.2 | 22 |
| 1 1 9 | 43.9 | 18 |
| 4 -3 7 | 69.5 | 17 |
| 2 2 0 | 61.0 | 16 |
| 0 1 2 | 18.3 | 15 |
| 4 0 7 | 77.2 | 12 |